Theoretical PXRD pattern of LiAlSiH2O5 for λ = 1.5418 Å (Cu Kα), from a cell relaxed with PBE.
Neutral-atom scattering factors, no anomalous dispersion.

Structure:
Cell: 12.0662 8.8655 4.8799 Å, 90.00 90.00 90.00°
Fractional coordinates of all 40 atoms:
Li 0.1176 0.0775 0.0000
Li 0.3824 0.5775 0.5000
Li 0.6176 0.4225 0.0000
Li 0.8824 0.9225 0.5000
Al 0.2252 0.6802 0.0347
Al 0.2748 0.1802 0.5347
Al 0.7252 0.8198 0.0347
Al 0.7748 0.3198 0.5347
Si 0.2037 0.3689 0.7587
Si 0.2963 0.8689 0.2587
Si 0.7037 0.1311 0.7587
Si 0.7963 0.6311 0.2587
H 0.0723 0.8239 0.6489
H 0.0788 0.8753 0.3416
H 0.4212 0.3753 0.8416
H 0.4277 0.3239 0.1489
H 0.5723 0.6761 0.6489
H 0.5788 0.6247 0.3416
H 0.9212 0.1247 0.8416
H 0.9277 0.1761 0.1489
O 0.0360 0.8891 0.5174
O 0.1400 0.2796 0.5049
O 0.1660 0.5195 0.9112
O 0.1694 0.8752 0.0872
O 0.2405 0.2086 0.9235
O 0.2595 0.7086 0.4235
O 0.3306 0.3752 0.5872
O 0.3340 0.0195 0.4112
O 0.3600 0.7796 0.0049
O 0.4640 0.3891 0.0174
O 0.5360 0.6109 0.5174
O 0.6400 0.2204 0.5049
O 0.6660 0.9805 0.9112
O 0.6694 0.6248 0.0872
O 0.7405 0.2914 0.9235
O 0.7595 0.7914 0.4235
O 0.8306 0.1248 0.5872
O 0.8340 0.4805 0.4112
O 0.8600 0.7204 0.0049
O 0.9640 0.1109 0.0174

The 6 most intense peaks (10° ≤ 2θ ≤ 80°), by angle:
2θ 14.68, d 6.033, I 100.0; 2θ 20.78, d 4.275, I 34.3; 2θ 22.06, d 4.030, I 25.8; 2θ 24.30, d 3.663, I 14.2; 2θ 25.54, d 3.488, I 39.6; 2θ 34.97, d 2.566, I 13.9

Theoretical PXRD pattern of LiAlSiH2O5 for λ = 1.5418 Å (Cu Kα), from a cell relaxed with PBE.
Neutral-atom scattering factors, no anomalous dispersion.

Structure:
Cell: 11.9098 8.4273 4.9865 Å, 90.00 90.00 90.00°
Fractional coordinates of all 40 atoms:
Li 0.1136 0.0304 0.0000
Li 0.3864 0.5304 0.5000
Li 0.6136 0.4696 0.0000
Li 0.8864 0.9696 0.5000
Al 0.2357 0.6908 0.0169
Al 0.2643 0.1908 0.5169
Al 0.7357 0.8092 0.0169
Al 0.7643 0.3092 0.5169
Si 0.2137 0.3359 0.9273
Si 0.2863 0.8359 0.4273
Si 0.7137 0.1641 0.9273
Si 0.7863 0.6641 0.4273
H 0.0006 0.2038 0.3016
H 0.0628 0.8449 0.5347
H 0.4372 0.3449 0.0347
H 0.4994 0.7038 0.8016
H 0.5006 0.2962 0.3016
H 0.5628 0.6551 0.5347
H 0.9372 0.1551 0.0347
H 0.9994 0.7962 0.8016
O 0.0245 0.8873 0.6970
O 0.1404 0.2186 0.7232
O 0.1692 0.5070 0.0220
O 0.1704 0.8440 0.2290
O 0.2332 0.2221 0.1850
O 0.2668 0.7221 0.6850
O 0.3296 0.3440 0.7290
O 0.3308 0.0070 0.5220
O 0.3596 0.7186 0.2232
O 0.4755 0.3873 0.1970
O 0.5245 0.6127 0.6970
O 0.6404 0.2814 0.7232
O 0.6692 0.9930 0.0220
O 0.6704 0.6560 0.2290
O 0.7332 0.2779 0.1850
O 0.7668 0.7779 0.6850
O 0.8296 0.1560 0.7290
O 0.8308 0.4930 0.5220
O 0.8596 0.7814 0.2232
O 0.9755 0.1127 0.1970

The 6 most intense peaks (10° ≤ 2θ ≤ 80°), by angle:
2θ 14.88, d 5.955, I 100.0; 2θ 21.08, d 4.214, I 21.0; 2θ 22.02, d 4.037, I 36.9; 2θ 23.27, d 3.823, I 15.2; 2θ 25.90, d 3.440, I 21.0; 2θ 37.52, d 2.397, I 12.5

Theoretical PXRD pattern of NaMgAl3Si8H4O24 for λ = 1.5418 Å (Cu Kα), from a cell relaxed with PBE.
Neutral-atom scattering factors, no anomalous dispersion.

Structure:
Cell: 5.2847 9.0644 10.0062 Å, 90.01 90.20 90.01°
Fractional coordinates of all 41 atoms:
Na 0.0000 0.0000 0.0000
Mg 0.0916 0.8740 0.4678
Al 0.0908 0.2022 0.4677
Al 0.5923 0.3752 0.4703
Al 0.5918 0.7048 0.4697
Si 0.2893 0.7062 0.7415
Si 0.2903 0.3648 0.7403
Si 0.3878 0.2078 0.1968
Si 0.4022 0.8631 0.1963
Si 0.7798 0.8615 0.7389
Si 0.7904 0.2072 0.7392
Si 0.8878 0.3656 0.1977
Si 0.8913 0.7057 0.1966
H 0.2824 0.5369 0.3553
H 0.4101 0.0512 0.5704
H 0.7680 0.0510 0.3659
H 0.9046 0.5373 0.5845
O 0.0429 0.7953 0.8032
O 0.0496 0.2747 0.8034
O 0.1271 0.2749 0.1331
O 0.1381 0.7945 0.1340
O 0.2259 0.0526 0.5724
O 0.2651 0.5348 0.7889
O 0.2904 0.3501 0.5756
O 0.2986 0.7202 0.5799
O 0.3921 0.2285 0.3597
O 0.3948 0.0360 0.1432
O 0.4164 0.8458 0.3563
O 0.4649 0.5362 0.3691
O 0.5399 0.7810 0.8110
O 0.5468 0.2913 0.8027
O 0.6339 0.2900 0.1339
O 0.6486 0.7880 0.1243
O 0.7221 0.5366 0.5701
O 0.7665 0.8463 0.5785
O 0.7784 0.0350 0.7912
O 0.7881 0.2283 0.5759
O 0.8836 0.7197 0.3574
O 0.8917 0.3511 0.3617
O 0.9101 0.5352 0.1476
O 0.9521 0.0532 0.3600

The 6 most intense peaks (10° ≤ 2θ ≤ 80°), by angle:
2θ 17.73, d 5.003, I 33.7; 2θ 19.59, d 4.532, I 66.4; 2θ 21.41, d 4.150, I 100.0; 2θ 26.39, d 3.377, I 45.9; 2θ 26.73, d 3.335, I 39.5; 2θ 35.38, d 2.537, I 64.7

Theoretical PXRD pattern of Mg5AlH21O17 for λ = 1.5418 Å (Cu Kα), from a cell relaxed with PBE.
Neutral-atom scattering factors, no anomalous dispersion.

Structure:
Cell: 3.1152 8.0314 16.0965 Å, 96.08 90.92 100.93°
Fractional coordinates of all 44 atoms:
Mg 0.0000 0.0000 0.0000
Mg 0.0040 0.9884 0.6593
Mg 0.4856 0.9913 0.1679
Mg 0.4966 0.9982 0.5003
Mg 0.9843 0.9940 0.3350
Al 0.4999 0.9883 0.8291
H 0.1189 0.4930 0.6941
H 0.1539 0.4943 0.4744
H 0.1567 0.2441 0.8884
H 0.1743 0.2561 0.5664
H 0.1755 0.2464 0.2358
H 0.3058 0.4988 0.3838
H 0.4167 0.7313 0.5930
H 0.4229 0.7371 0.2668
H 0.4348 0.7516 0.9162
H 0.6255 0.2484 0.0819
H 0.6463 0.2370 0.7409
H 0.6620 0.4967 0.6535
H 0.6646 0.4952 0.8563
H 0.6798 0.4972 0.5416
H 0.6812 0.2494 0.4044
H 0.7168 0.4967 0.9519
H 0.7191 0.4908 0.3009
H 0.7825 0.5027 0.2084
H 0.8754 0.7377 0.1021
H 0.8891 0.7381 0.7566
H 0.9265 0.7422 0.4365
O 0.0352 0.4944 0.4143
O 0.0548 0.1260 0.2234
O 0.0700 0.1199 0.8848
O 0.0696 0.1327 0.5661
O 0.4005 0.4969 0.5678
O 0.4093 0.8564 0.2671
O 0.4381 0.8552 0.6082
O 0.4463 0.8742 0.9262
O 0.4982 0.4938 0.9075
O 0.5506 0.4913 0.2484
O 0.5548 0.1292 0.3949
O 0.5588 0.1131 0.7387
O 0.5639 0.1317 0.0563
O 0.8232 0.5015 0.7121
O 0.9135 0.8584 0.0973
O 0.9243 0.8626 0.4390
O 0.9380 0.8595 0.7806

The 6 most intense peaks (10° ≤ 2θ ≤ 80°), by angle:
2θ 11.29, d 7.837, I 100.0; 2θ 22.69, d 3.918, I 24.9; 2θ 34.33, d 2.612, I 17.8; 2θ 38.32, d 2.349, I 13.1; 2θ 38.67, d 2.328, I 18.9; 2θ 45.82, d 1.980, I 19.1

Theoretical PXRD pattern of MgAl4H12O12 for λ = 1.5418 Å (Cu Kα), from a cell relaxed with PBE.
Neutral-atom scattering factors, no anomalous dispersion.

Structure:
Cell: 5.2309 6.8999 7.5292 Å, 76.97 75.48 75.95°
Fractional coordinates of all 29 atoms:
Mg 0.0000 0.0000 0.0000
Al 0.4746 0.0227 0.4965
Al 0.4865 0.6793 0.8253
Al 0.9529 0.5231 0.9981
Al 0.9720 0.1929 0.3411
H 0.1237 0.8382 0.4901
H 0.1597 0.3740 0.5127
H 0.2227 0.6499 0.1782
H 0.3182 0.4364 0.7233
H 0.3458 0.1956 0.0303
H 0.4182 0.0470 0.8128
H 0.5997 0.4715 0.2889
H 0.6322 0.1152 0.1599
H 0.6663 0.9155 0.9514
H 0.6859 0.2947 0.9046
H 0.7048 0.6595 0.4840
H 0.7362 0.1418 0.6881
O 0.1400 0.2340 0.0750
O 0.1757 0.6884 0.0563
O 0.2139 0.9412 0.4031
O 0.2270 0.5597 0.7734
O 0.2351 0.2833 0.4226
O 0.3068 0.9774 0.7644
O 0.6517 0.7527 0.5729
O 0.7023 0.7619 0.9444
O 0.7071 0.1622 0.5580
O 0.7217 0.4391 0.8888
O 0.7314 0.0538 0.2667
O 0.7938 0.4634 0.2594

The 6 most intense peaks (10° ≤ 2θ ≤ 80°), by angle:
2θ 16.59, d 5.342, I 100.0; 2θ 19.52, d 4.547, I 36.0; 2θ 19.82, d 4.479, I 19.4; 2θ 38.12, d 2.361, I 33.6; 2θ 41.13, d 2.195, I 34.7; 2θ 45.37, d 1.999, I 30.5